This entry pairs a crystal structure of MnIr3Rh4 with its calculated X-ray powder pattern. Radiation: Cu Kα. Structure: DFT lattice parameters and positions (PBE).
Intensities are scaled so that the largest is 1000.

Atomic structure:
Unit cell a=2.6942 b=8.7199 c=9.8822 alpha=90.00 beta=90.00 gamma=90.00
Space group Immm (No. 71)
Inequivalent atoms, fractional coordinates:
Mn1 0.0000 0.0000 0.0000 [2 per cell]
Ir1 0.0000 0.0000 0.5000 [2 per cell]
Ir2 0.0000 0.5000 0.2858 [4 per cell]
Rh1 0.0000 0.2567 0.1300 [8 per cell]

Main lines, in order of falling intensity (5 to 70 degrees two-theta):
- 2θ = 39.5°, rel. 1000
- 2θ = 42.0°, rel. 978
- 2θ = 41.4°, rel. 899
- 2θ = 40.4°, rel. 696
- 2θ = 49.7°, rel. 510
- 2θ = 29.0°, rel. 413
- 2θ = 48.4°, rel. 291
- 2θ = 57.9°, rel. 251
- 2θ = 66.6°, rel. 218
- 2θ = 69.8°, rel. 146